No. 1
Computed X-ray diffraction stick pattern of Zr3I for Cu Kα X-rays, from a structure optimized by DFT (PBE).

Crystal structure
```
data_Zr3I
_chemical_formula_sum 'Zr3 I1'
_symmetry_space_group_name_H-M 'P m -3 m'
_symmetry_Int_Tables_number 221
_symmetry_space_group_name_Hall '-P 4 2 3'
_cell_length_a 4.4838
_cell_length_b 4.4838
_cell_length_c 4.4838
_cell_angle_alpha 90.00
_cell_angle_beta 90.00
_cell_angle_gamma 90.00
loop_
_atom_site_label
_atom_site_fract_x
_atom_site_fract_y
_atom_site_fract_z
_atom_site_occupancy
Zr1 0.0000 0.0000 0.5000 1
I1 0.5000 0.5000 0.5000 1
```

Most intense lines, 10 to 90 degrees two-theta, sorted by position:
19.8°, d = 4.484 Å, I 2
28.1°, d = 3.171 Å, I 2
34.7°, d = 2.589 Å, I 100
40.2°, d = 2.242 Å, I 49
45.2°, d = 2.005 Å, I 1
49.8°, d = 1.830 Å, I 1
58.2°, d = 1.585 Å, I 32
69.5°, d = 1.352 Å, I 38
73.1°, d = 1.294 Å, I 11
86.9°, d = 1.121 Å, I 5

***

No. 2
Computed X-ray diffraction stick pattern of In2Ir for Cu Kα X-rays, from a structure optimized by DFT (PBE).

Crystal structure
```
data_In2Ir
_chemical_formula_sum 'In32 Ir16'
_symmetry_space_group_name_H-M 'F d d d'
_symmetry_Int_Tables_number 70
_cell_length_a 5.4793
_cell_length_b 9.9155
_cell_length_c 18.1411
_cell_angle_alpha 90.00
_cell_angle_beta 90.00
_cell_angle_gamma 90.00
loop_
_symmetry_equiv_pos_as_xyz
'x,y,z'
'-x,-y,-z'
'-x+1/4,-y+1/4,z'
'x+1/4,y+1/4,-z'
'x,-y+1/4,-z+1/4'
'-x,y+1/4,z+1/4'
'-x+1/4,y,-z+1/4'
'x+1/4,-y,z+1/4'
'x,y+1/2,z+1/2'
'-x,-y+1/2,-z+1/2'
'-x+1/4,-y+3/4,z+1/2'
'x+1/4,y+3/4,-z+1/2'
'x,-y+3/4,-z+3/4'
'-x,y+3/4,z+3/4'
'-x+1/4,y+1/2,-z+3/4'
'x+1/4,-y+1/2,z+3/4'
'x+1/2,y,z+1/2'
'-x+1/2,-y,-z+1/2'
'-x+3/4,-y+1/4,z+1/2'
'x+3/4,y+1/4,-z+1/2'
'x+1/2,-y+1/4,-z+3/4'
'-x+1/2,y+1/4,z+3/4'
'-x+3/4,y,-z+3/4'
'x+3/4,-y,z+3/4'
'x+1/2,y+1/2,z'
'-x+1/2,-y+1/2,-z'
'-x+3/4,-y+3/4,z'
'x+3/4,y+3/4,-z'
'x+1/2,-y+3/4,-z+1/4'
'-x+1/2,y+3/4,z+1/4'
'-x+3/4,y+1/2,-z+1/4'
'x+3/4,-y+1/2,z+1/4'
loop_
_atom_site_label
_atom_site_fract_x
_atom_site_fract_y
_atom_site_fract_z
_atom_site_occupancy
In1 0.1250 0.1250 0.0395 1
In2 0.1250 0.2820 0.6250 1
Ir1 0.1250 0.1250 0.4952 1
```

Most intense lines, 10 to 90 degrees two-theta, sorted by position:
19.1°, d = 4.636 Å, I 38
19.6°, d = 4.535 Å, I 37
34.2°, d = 2.623 Å, I 27
35.0°, d = 2.563 Å, I 64
37.5°, d = 2.398 Å, I 55
39.5°, d = 2.280 Å, I 71
41.5°, d = 2.175 Å, I 67
42.7°, d = 2.120 Å, I 100
65.5°, d = 1.425 Å, I 24
66.0°, d = 1.415 Å, I 26

***

No. 3
Computed X-ray diffraction stick pattern of LiInIr for Cu Kα X-rays, from a structure optimized by DFT (PBE).

Crystal structure
```
data_LiInIr
_chemical_formula_sum 'Li1 In1 Ir1'
_symmetry_space_group_name_H-M 'P -6 m 2'
_symmetry_Int_Tables_number 187
_symmetry_space_group_name_Hall 'P -6 2'
_cell_length_a 4.3637
_cell_length_b 4.3637
_cell_length_c 2.9042
_cell_angle_alpha 90.00
_cell_angle_beta 90.00
_cell_angle_gamma 120.00
loop_
_atom_site_label
_atom_site_fract_x
_atom_site_fract_y
_atom_site_fract_z
_atom_site_occupancy
Li1 0.0000 0.0000 0.0000 1
In1 0.3333 0.6667 0.5000 1
Ir1 0.6667 0.3333 0.0000 1
```

Most intense lines, 10 to 90 degrees two-theta, sorted by position:
23.5°, d = 3.779 Å, I 67
39.1°, d = 2.303 Å, I 100
41.4°, d = 2.182 Å, I 58
48.2°, d = 1.890 Å, I 10
58.3°, d = 1.584 Å, I 31
65.3°, d = 1.428 Å, I 8
69.3°, d = 1.355 Å, I 7
73.9°, d = 1.282 Å, I 31
75.5°, d = 1.260 Å, I 10
79.2°, d = 1.209 Å, I 17

***

No. 4
Computed X-ray diffraction stick pattern of LiIn2Ir for Cu Kα X-rays, from a structure optimized by DFT (PBE).

Crystal structure
```
data_LiIn2Ir
_chemical_formula_sum 'Li4 In8 Ir4'
_symmetry_space_group_name_H-M 'F m -3 m'
_symmetry_Int_Tables_number 225
_symmetry_space_group_name_Hall '-F 4 2 3'
_cell_length_a 6.5456
_cell_length_b 6.5456
_cell_length_c 6.5456
_cell_angle_alpha 90.00
_cell_angle_beta 90.00
_cell_angle_gamma 90.00
loop_
_atom_site_label
_atom_site_fract_x
_atom_site_fract_y
_atom_site_fract_z
_atom_site_occupancy
Li1 0.0000 0.0000 0.0000 1
In1 0.2500 0.2500 0.2500 1
Ir1 0.0000 0.0000 0.5000 1
```

Most intense lines, 10 to 90 degrees two-theta, sorted by position:
23.5°, d = 3.779 Å, I 45
27.2°, d = 3.273 Å, I 1
38.9°, d = 2.314 Å, I 100
46.0°, d = 1.974 Å, I 23
56.2°, d = 1.636 Å, I 17
61.8°, d = 1.502 Å, I 10
70.5°, d = 1.336 Å, I 34
75.5°, d = 1.260 Å, I 7
83.6°, d = 1.157 Å, I 11
88.3°, d = 1.106 Å, I 8

***

No. 5
Computed X-ray diffraction stick pattern of Li2InIr for Cu Kα X-rays, from a structure optimized by DFT (PBE).

Crystal structure
```
data_Li2InIr
_chemical_formula_sum 'Li8 In4 Ir4'
_symmetry_space_group_name_H-M 'F -4 3 m'
_symmetry_Int_Tables_number 216
_symmetry_space_group_name_Hall 'F -4 2 3'
_cell_length_a 6.3203
_cell_length_b 6.3203
_cell_length_c 6.3203
_cell_angle_alpha 90.00
_cell_angle_beta 90.00
_cell_angle_gamma 90.00
loop_
_atom_site_label
_atom_site_fract_x
_atom_site_fract_y
_atom_site_fract_z
_atom_site_occupancy
Li1 0.0000 0.0000 0.0000 1
Li2 0.2500 0.2500 0.2500 1
In1 0.2500 0.2500 0.7500 1
Ir1 0.0000 0.0000 0.5000 1
```

Most intense lines, 10 to 90 degrees two-theta, sorted by position:
24.4°, d = 3.649 Å, I 100
28.2°, d = 3.160 Å, I 6
40.4°, d = 2.235 Å, I 87
47.7°, d = 1.906 Å, I 50
58.4°, d = 1.580 Å, I 15
64.2°, d = 1.450 Å, I 21
66.1°, d = 1.413 Å, I 2
73.4°, d = 1.290 Å, I 30
78.7°, d = 1.216 Å, I 16
87.3°, d = 1.117 Å, I 10

***

No. 6
Computed X-ray diffraction stick pattern of SmIn2Ir for Cu Kα X-rays, from a structure optimized by DFT (PBE).

Crystal structure
```
data_SmIn2Ir
_chemical_formula_sum 'Sm4 In8 Ir4'
_symmetry_space_group_name_H-M 'C m c m'
_symmetry_Int_Tables_number 63
_symmetry_space_group_name_Hall '-C 2c 2'
_cell_length_a 4.3879
_cell_length_b 10.3198
_cell_length_c 8.0934
_cell_angle_alpha 90.00
_cell_angle_beta 90.00
_cell_angle_gamma 90.00
loop_
_atom_site_label
_atom_site_fract_x
_atom_site_fract_y
_atom_site_fract_z
_atom_site_occupancy
Sm1 0.0000 0.0705 0.2500 1
In1 0.0000 0.3555 0.0513 1
Ir1 0.0000 0.2201 0.7500 1
```

Most intense lines, 10 to 90 degrees two-theta, sorted by position:
17.2°, d = 5.160 Å, I 24
31.3°, d = 2.858 Å, I 98
34.9°, d = 2.567 Å, I 100
36.6°, d = 2.458 Å, I 38
40.1°, d = 2.250 Å, I 34
40.2°, d = 2.243 Å, I 45
41.1°, d = 2.194 Å, I 46
56.2°, d = 1.637 Å, I 22
67.0°, d = 1.397 Å, I 21
67.4°, d = 1.389 Å, I 21

***

No. 7
Computed X-ray diffraction stick pattern of SrIn8Ir2 for Cu Kα X-rays, from a structure optimized by DFT (PBE).

Crystal structure
```
data_SrIn8Ir2
_chemical_formula_sum 'Sr4 In32 Ir8'
_symmetry_space_group_name_H-M 'P b a m'
_symmetry_Int_Tables_number 55
_cell_length_a 14.1550
_cell_length_b 16.2317
_cell_length_c 4.4955
_cell_angle_alpha 90.00
_cell_angle_beta 90.00
_cell_angle_gamma 90.00
loop_
_symmetry_equiv_pos_as_xyz
'x,y,z'
'-x,-y,-z'
'-x,-y,z'
'x,y,-z'
'x+1/2,-y+1/2,-z'
'-x+1/2,y+1/2,z'
'-x+1/2,y+1/2,-z'
'x+1/2,-y+1/2,z'
loop_
_atom_site_label
_atom_site_fract_x
_atom_site_fract_y
_atom_site_fract_z
_atom_site_occupancy
Sr1 0.1581 0.1809 0.0000 1
In1 0.0000 0.0000 0.0000 1
In2 0.0000 0.5000 0.5000 1
In3 0.0198 0.8663 0.5000 1
In4 0.0509 0.3175 0.5000 1
In5 0.0998 0.7470 0.0000 1
In6 0.1601 0.4560 0.0000 1
In7 0.1665 0.6221 0.5000 1
In8 0.1702 0.0104 0.5000 1
In9 0.2397 0.8233 0.5000 1
Ir1 0.0355 0.5951 0.0000 1
Ir2 0.1546 0.9039 0.0000 1
```

Most intense lines, 10 to 90 degrees two-theta, sorted by position:
12.5°, d = 7.056 Å, I 19
13.6°, d = 6.488 Å, I 24
30.3°, d = 2.946 Å, I 37
32.1°, d = 2.787 Å, I 66
32.7°, d = 2.741 Å, I 16
38.8°, d = 2.320 Å, I 48
39.2°, d = 2.298 Å, I 100
40.1°, d = 2.248 Å, I 46
41.0°, d = 2.203 Å, I 23
72.3°, d = 1.307 Å, I 17

***

No. 8
Computed X-ray diffraction stick pattern of SrIn2Ir for Cu Kα X-rays, from a structure optimized by DFT (PBE).

Crystal structure
```
data_SrIn2Ir
_chemical_formula_sum 'Sr4 In8 Ir4'
_symmetry_space_group_name_H-M 'C m c m'
_symmetry_Int_Tables_number 63
_symmetry_space_group_name_Hall '-C 2c 2'
_cell_length_a 4.3403
_cell_length_b 11.1625
_cell_length_c 8.1868
_cell_angle_alpha 90.00
_cell_angle_beta 90.00
_cell_angle_gamma 90.00
loop_
_atom_site_label
_atom_site_fract_x
_atom_site_fract_y
_atom_site_fract_z
_atom_site_occupancy
Sr1 0.0000 0.0608 0.2500 1
In1 0.0000 0.3455 0.0527 1
Ir1 0.0000 0.2200 0.7500 1
```

Most intense lines, 10 to 90 degrees two-theta, sorted by position:
15.9°, d = 5.581 Å, I 89
31.1°, d = 2.877 Å, I 91
33.6°, d = 2.670 Å, I 100
33.9°, d = 2.641 Å, I 53
38.7°, d = 2.325 Å, I 61
39.1°, d = 2.306 Å, I 38
39.8°, d = 2.262 Å, I 93
41.6°, d = 2.170 Å, I 54
46.3°, d = 1.963 Å, I 28
62.0°, d = 1.497 Å, I 27

***

No. 9
Computed X-ray diffraction stick pattern of SrIn4Ir for Cu Kα X-rays, from a structure optimized by DFT (PBE).

Crystal structure
```
data_SrIn4Ir
_chemical_formula_sum 'Sr2 In8 Ir2'
_symmetry_space_group_name_H-M 'P m m a'
_symmetry_Int_Tables_number 51
_cell_length_a 8.7652
_cell_length_b 4.4227
_cell_length_c 7.7680
_cell_angle_alpha 90.00
_cell_angle_beta 90.00
_cell_angle_gamma 90.00
loop_
_symmetry_equiv_pos_as_xyz
'x,y,z'
'-x,-y,-z'
'-x+1/2,-y,z'
'x+1/2,y,-z'
'x+1/2,-y,-z'
'-x+1/2,y,z'
'-x,y,-z'
'x,-y,z'
loop_
_atom_site_label
_atom_site_fract_x
_atom_site_fract_y
_atom_site_fract_z
_atom_site_occupancy
Sr1 0.2500 0.0000 0.1048 1
In1 0.0000 0.0000 0.5000 1
In2 0.0672 0.5000 0.8085 1
In3 0.2500 0.5000 0.4426 1
Ir1 0.2500 0.0000 0.6883 1
```

Most intense lines, 10 to 90 degrees two-theta, sorted by position:
11.4°, d = 7.768 Å, I 45
15.2°, d = 5.814 Å, I 66
30.9°, d = 2.890 Å, I 69
32.3°, d = 2.769 Å, I 99
36.2°, d = 2.483 Å, I 26
37.0°, d = 2.429 Å, I 100
38.7°, d = 2.326 Å, I 65
40.4°, d = 2.231 Å, I 41
40.8°, d = 2.211 Å, I 56
63.5°, d = 1.466 Å, I 26

***

No. 10
Computed X-ray diffraction stick pattern of Tb4InIr for Cu Kα X-rays, from a structure optimized by DFT (PBE).

Crystal structure
```
data_Tb4InIr
_chemical_formula_sum 'Tb64 In16 Ir16'
_symmetry_space_group_name_H-M 'F -4 3 m'
_symmetry_Int_Tables_number 216
_symmetry_space_group_name_Hall 'F -4 2 3'
_cell_length_a 13.7350
_cell_length_b 13.7350
_cell_length_c 13.7350
_cell_angle_alpha 90.00
_cell_angle_beta 90.00
_cell_angle_gamma 90.00
loop_
_atom_site_label
_atom_site_fract_x
_atom_site_fract_y
_atom_site_fract_z
_atom_site_occupancy
Tb1 0.0000 0.0000 0.1898 1
Tb2 0.0586 0.2500 0.7500 1
Tb3 0.0990 0.0990 0.4010 1
In1 0.1674 0.1674 0.1674 1
Ir1 0.1087 0.1087 0.6087 1
```

Most intense lines, 10 to 90 degrees two-theta, sorted by position:
28.3°, d = 3.151 Å, I 15
31.9°, d = 2.804 Å, I 40
33.9°, d = 2.643 Å, I 100
37.0°, d = 2.428 Å, I 41
51.1°, d = 1.788 Å, I 13
56.9°, d = 1.619 Å, I 39
58.2°, d = 1.586 Å, I 15
71.0°, d = 1.328 Å, I 14
85.8°, d = 1.133 Å, I 13
87.6°, d = 1.114 Å, I 16